This entry pairs a crystal structure of CsSmLuTe3 with its computed PXRD pattern. Radiation: Cu Kα (weighted mean of Kα1 and Kα2). Structure: a cell relaxed with PBE.
No peak broadening, texture or thermal motion is included.

Peak list (10 most intense, 15° ≤ 2θ ≤ 90°, in order of falling intensity)
2θ = 35.0°, I = 100
2θ = 28.4°, I = 77
2θ = 24.4°, I = 33
2θ = 33.5°, I = 28
2θ = 43.2°, I = 24
2θ = 49.2°, I = 19
2θ = 62.8°, I = 18
2θ = 48.6°, I = 13
2θ = 26.9°, I = 12
2θ = 40.6°, I = 12

Structural model:
```
data_CsSmLuTe3
_chemical_formula_sum 'Cs4 Sm4 Lu4 Te12'
_cell_length_a 5.132
_cell_length_b 17.753
_cell_length_c 10.700
_cell_angle_alpha 90.00
_cell_angle_beta 90.00
_cell_angle_gamma 90.00
_symmetry_space_group_name_H-M 'C m c m'
_symmetry_Int_Tables_number 63
_symmetry_space_group_name_Hall '-C 2c 2'
loop_
_atom_site_label
_atom_site_type_symbol
_atom_site_fract_x
_atom_site_fract_y
_atom_site_fract_z
Cs1 Cs 0.000 0.228 0.250
Sm1 Sm 0.000 0.489 0.250
Lu1 Lu 0.000 0.000 0.000
Te1 Te 0.000 0.094 0.750
Te2 Te 0.000 0.394 0.537
```



This entry pairs a crystal structure of CsSrLu with its computed PXRD pattern. Radiation: Cu Kα (weighted mean of Kα1 and Kα2). Structure: a cell relaxed with PBE.
No peak broadening, texture or thermal motion is included.

Peak list (10 most intense, 15° ≤ 2θ ≤ 90°, in order of falling intensity)
2θ = 29.5°, I = 100
2θ = 52.3°, I = 40
2θ = 17.9°, I = 35
2θ = 84.6°, I = 21
2θ = 34.7°, I = 20
2θ = 42.2°, I = 19
2θ = 69.4°, I = 17
2θ = 20.7°, I = 13
2θ = 61.2°, I = 13
2θ = 46.2°, I = 9

Structural model:
```
data_CsSrLu
_chemical_formula_sum 'Cs4 Sr4 Lu4'
_cell_length_a 8.570
_cell_length_b 8.570
_cell_length_c 8.570
_cell_angle_alpha 90.00
_cell_angle_beta 90.00
_cell_angle_gamma 90.00
_symmetry_space_group_name_H-M 'F -4 3 m'
_symmetry_Int_Tables_number 216
_symmetry_space_group_name_Hall 'F -4 2 3'
loop_
_atom_site_label
_atom_site_type_symbol
_atom_site_fract_x
_atom_site_fract_y
_atom_site_fract_z
Cs1 Cs 0.000 0.000 0.000
Sr1 Sr 0.250 0.250 0.250
Lu1 Lu 0.250 0.250 0.750
```



This entry pairs a crystal structure of Cs2MgOsO6 with its computed PXRD pattern. Radiation: Cu Kα (weighted mean of Kα1 and Kα2). Structure: a cell relaxed with PBE.
No peak broadening, texture or thermal motion is included.

Peak list (10 most intense, 15° ≤ 2θ ≤ 90°, in order of falling intensity)
2θ = 30.7°, I = 100
2θ = 54.7°, I = 40
2θ = 18.7°, I = 35
2θ = 44.0°, I = 30
2θ = 89.1°, I = 22
2θ = 64.0°, I = 19
2θ = 72.7°, I = 18
2θ = 36.2°, I = 16
2θ = 58.3°, I = 7
2θ = 67.4°, I = 7

Structural model:
```
data_Cs2MgOsO6
_chemical_formula_sum 'Cs8 Mg4 Os4 O24'
_cell_length_a 8.225
_cell_length_b 8.225
_cell_length_c 8.225
_cell_angle_alpha 90.00
_cell_angle_beta 90.00
_cell_angle_gamma 90.00
_symmetry_space_group_name_H-M 'F m -3 m'
_symmetry_Int_Tables_number 225
_symmetry_space_group_name_Hall '-F 4 2 3'
loop_
_atom_site_label
_atom_site_type_symbol
_atom_site_fract_x
_atom_site_fract_y
_atom_site_fract_z
Cs1 Cs 0.250 0.250 0.250
Mg1 Mg 0.000 0.000 0.000
Os1 Os 0.000 0.000 0.500
O1 O 0.000 0.000 0.270
```



This entry pairs a crystal structure of CsMg2Zn2P3 with its computed PXRD pattern. Radiation: Cu Kα (weighted mean of Kα1 and Kα2). Structure: a cell relaxed with PBE.
No peak broadening, texture or thermal motion is included.

Peak list (10 most intense, 15° ≤ 2θ ≤ 90°, in order of falling intensity)
2θ = 27.1°, I = 100
2θ = 31.0°, I = 76
2θ = 46.0°, I = 61
2θ = 42.7°, I = 50
2θ = 25.5°, I = 40
2θ = 34.5°, I = 38
2θ = 51.2°, I = 31
2θ = 50.4°, I = 25
2θ = 22.6°, I = 24
2θ = 80.5°, I = 23

Structural model:
```
data_CsMg2Zn2P3
_chemical_formula_sum 'Cs1 Mg2 Zn2 P3'
_cell_length_a 4.239
_cell_length_b 4.239
_cell_length_c 10.481
_cell_angle_alpha 90.00
_cell_angle_beta 90.00
_cell_angle_gamma 90.00
_symmetry_space_group_name_H-M 'P 4 m m'
_symmetry_Int_Tables_number 99
_symmetry_space_group_name_Hall 'P 4 -2'
loop_
_atom_site_label
_atom_site_type_symbol
_atom_site_fract_x
_atom_site_fract_y
_atom_site_fract_z
Cs1 Cs 0.000 0.000 0.000
Mg1 Mg 0.000 0.500 0.651
Zn1 Zn 0.000 0.500 0.345
P1 P 0.000 0.000 0.495
P2 P 0.500 0.500 0.229
P3 P 0.500 0.500 0.778
```